Calculated PXRD pattern
Compound: MgAu3
Radiation: CuKα
Structure: a PBE-relaxed structure
Lines closer than 0.1° are merged.

Cell and atoms:
Lattice parameters (Å, degrees): 4.078 4.078 8.588 90.00 90.00 90.00
Element x y z (fractional)
Mg1 0.000 0.000 0.000
Mg2 0.500 0.500 0.500
Au1 0.000 0.000 0.500
Au2 0.000 0.500 0.250
Au3 0.000 0.500 0.750
Au4 0.500 0.000 0.250
Au5 0.500 0.000 0.750
Au6 0.500 0.500 0.000

Top 10 peaks for 2θ from 15° to 90°, in order of falling intensity:
| d [Å] | two_theta | I_rel |
| --- | --- | --- |
| 2.394 | 37.57 | 100 |
| 2.039 | 44.43 | 31 |
| 1.235 | 77.25 | 25 |
| 3.684 | 24.16 | 23 |
| 1.478 | 62.86 | 23 |
| 2.147 | 42.08 | 18 |
| 1.282 | 73.93 | 14 |
| 1.197 | 80.19 | 12 |
| 1.442 | 64.65 | 10 |
| 4.294 | 20.68 | 8 |